Entry 1:
For Th12Co6Sb, a DFT-relaxed cell (PBE, Alexandria) gives the computed powder diffractogram in this record (Cu Kα, 1.54184 Å).
Neutral-atom scattering factors, no anomalous dispersion.

Largest 10 diffraction maxima, in order of rising 2θ, 10° ≤ 2θ ≤ 80°:
- 2θ = 25.34°, I 13, hkl 2 2 0
- 2θ = 28.39°, I 73, hkl 3 0 1
- 2θ = 31.16°, I 25, hkl 2 2 2
- 2θ = 33.73°, I 100, hkl 3 1 2
- 2θ = 46.58°, I 20, hkl 4 3 1
- 2θ = 53.76°, I 40, hkl 5 3 0
- 2θ = 55.46°, I 19, hkl 6 0 0
- 2θ = 57.11°, I 33, hkl 5 2 3
- 2θ = 63.46°, I 12, hkl 6 1 3
- 2θ = 66.50°, I 14, hkl 5 4 3

Crystal structure
```
data_Th12Co6Sb
_chemical_formula_sum 'Th24 Co12 Sb2'
_cell_length_a 9.9416
_cell_length_b 9.9416
_cell_length_c 9.9416
_cell_angle_alpha 90.00
_cell_angle_beta 90.00
_cell_angle_gamma 90.00
_symmetry_space_group_name_H-M 'I m -3'
_symmetry_Int_Tables_number 204
_symmetry_space_group_name_Hall '-I 2 2 3'
loop_
_atom_site_label
_atom_site_type_symbol
_atom_site_fract_x
_atom_site_fract_y
_atom_site_fract_z
Th1 Th 0.0000 0.3140 0.1777
Co1 Co 0.0000 0.1327 0.5000
Sb1 Sb 0.0000 0.0000 0.0000
```

=====

Entry 2:
For TlCo4Sb12, a DFT-relaxed cell (PBE, Alexandria) gives the computed powder diffractogram in this record (Cu Kα, 1.54184 Å).
Neutral-atom scattering factors, no anomalous dispersion.

Largest 10 diffraction maxima, in order of rising 2θ, 10° ≤ 2θ ≤ 80°:
- 2θ = 30.73°, I 100, hkl 3 0 1
- 2θ = 36.54°, I 54, hkl 3 1 2
- 2θ = 44.01°, I 9, hkl 4 2 0
- 2θ = 48.47°, I 24, hkl 4 2 2
- 2θ = 50.59°, I 26, hkl 4 3 1
- 2θ = 58.49°, I 15, hkl 5 3 0
- 2θ = 60.36°, I 12, hkl 6 0 0
- 2θ = 62.20°, I 9, hkl 5 2 3
- 2θ = 69.26°, I 18, hkl 6 1 3
- 2θ = 79.30°, I 8, hkl 7 3 0

Crystal structure
```
data_TlCo4Sb12
_chemical_formula_sum 'Tl2 Co8 Sb24'
_cell_length_a 9.2006
_cell_length_b 9.2006
_cell_length_c 9.2006
_cell_angle_alpha 90.00
_cell_angle_beta 90.00
_cell_angle_gamma 90.00
_symmetry_space_group_name_H-M 'I m -3'
_symmetry_Int_Tables_number 204
_symmetry_space_group_name_Hall '-I 2 2 3'
loop_
_atom_site_label
_atom_site_type_symbol
_atom_site_fract_x
_atom_site_fract_y
_atom_site_fract_z
Tl1 Tl 0.0000 0.0000 0.0000
Co1 Co 0.2500 0.2500 0.2500
Sb1 Sb 0.0000 0.3356 0.1611
```

=====

Entry 3:
For Tm5Co2Sb, a DFT-relaxed cell (PBE, Alexandria) gives the computed powder diffractogram in this record (Cu Kα, 1.54184 Å).
Neutral-atom scattering factors, no anomalous dispersion.

Largest 10 diffraction maxima, in order of rising 2θ, 10° ≤ 2θ ≤ 80°:
- 2θ = 27.45°, I 42, hkl 2 1 1
- 2θ = 31.87°, I 42, hkl 1 1 4
- 2θ = 33.57°, I 100, hkl 2 1 3
- 2θ = 33.83°, I 15, hkl 2 2 0
- 2θ = 36.20°, I 47, hkl 2 0 4
- 2θ = 37.97°, I 73, hkl 3 1 0
- 2θ = 43.55°, I 25, hkl 2 1 5
- 2θ = 56.43°, I 17, hkl 4 0 4
- 2θ = 59.29°, I 28, hkl 3 3 4
- 2θ = 69.22°, I 23, hkl 3 1 8

Crystal structure
```
data_Tm5Co2Sb
_chemical_formula_sum 'Tm20 Co8 Sb4'
_cell_length_a 7.4945
_cell_length_b 7.4945
_cell_length_c 13.2450
_cell_angle_alpha 90.00
_cell_angle_beta 90.00
_cell_angle_gamma 90.00
_symmetry_space_group_name_H-M 'I 4/m c m'
_symmetry_Int_Tables_number 140
_symmetry_space_group_name_Hall '-I 4 2c'
loop_
_atom_site_label
_atom_site_type_symbol
_atom_site_fract_x
_atom_site_fract_y
_atom_site_fract_z
Tm1 Tm 0.0000 0.0000 0.0000
Tm2 Tm 0.1579 0.3421 0.1324
Co1 Co 0.1345 0.3655 0.5000
Sb1 Sb 0.0000 0.0000 0.2500
```

=====

Entry 4:
For Co3SbW, a DFT-relaxed cell (PBE, Alexandria) gives the computed powder diffractogram in this record (Cu Kα, 1.54184 Å).
Neutral-atom scattering factors, no anomalous dispersion.

Largest 10 diffraction maxima, in order of rising 2θ, 10° ≤ 2θ ≤ 80°:
- 2θ = 19.80°, I 31, hkl 1 0 0
- 2θ = 28.14°, I 100, hkl 1 1 0
- 2θ = 34.64°, I 11, hkl 1 1 1
- 2θ = 40.22°, I 80, hkl 2 0 0
- 2θ = 45.21°, I 15, hkl 2 1 0
- 2θ = 49.80°, I 43, hkl 2 1 1
- 2θ = 58.18°, I 53, hkl 2 2 0
- 2θ = 62.09°, I 7, hkl 3 0 0
- 2θ = 65.85°, I 19, hkl 3 1 0
- 2θ = 73.09°, I 17, hkl 2 2 2

Crystal structure
```
data_Co3SbW
_chemical_formula_sum 'Co3 Sb1 W1'
_cell_length_a 4.4849
_cell_length_b 4.4849
_cell_length_c 4.4849
_cell_angle_alpha 90.00
_cell_angle_beta 90.00
_cell_angle_gamma 90.00
_symmetry_space_group_name_H-M 'P m -3 m'
_symmetry_Int_Tables_number 221
_symmetry_space_group_name_Hall '-P 4 2 3'
loop_
_atom_site_label
_atom_site_type_symbol
_atom_site_fract_x
_atom_site_fract_y
_atom_site_fract_z
Co1 Co 0.0000 0.0000 0.5000
Sb1 Sb 0.5000 0.5000 0.5000
W1 W 0.0000 0.0000 0.0000
```

=====

Entry 5:
For ZrCo3Sb, a DFT-relaxed cell (PBE, Alexandria) gives the computed powder diffractogram in this record (Cu Kα, 1.54184 Å).
Neutral-atom scattering factors, no anomalous dispersion.

Largest 10 diffraction maxima, in order of rising 2θ, 10° ≤ 2θ ≤ 80°:
- 2θ = 19.53°, I 31, hkl 1 0 0
- 2θ = 27.75°, I 76, hkl 1 1 0
- 2θ = 34.16°, I 32, hkl 1 1 1
- 2θ = 39.65°, I 100, hkl 2 0 0
- 2θ = 44.57°, I 14, hkl 2 1 0
- 2θ = 49.09°, I 31, hkl 2 1 1
- 2θ = 57.33°, I 65, hkl 2 2 0
- 2θ = 64.86°, I 13, hkl 3 1 0
- 2θ = 71.96°, I 21, hkl 2 2 2
- 2θ = 78.78°, I 16, hkl 3 2 1

Crystal structure
```
data_ZrCo3Sb
_chemical_formula_sum 'Zr1 Co3 Sb1'
_cell_length_a 4.5457
_cell_length_b 4.5457
_cell_length_c 4.5457
_cell_angle_alpha 90.00
_cell_angle_beta 90.00
_cell_angle_gamma 90.00
_symmetry_space_group_name_H-M 'P m -3 m'
_symmetry_Int_Tables_number 221
_symmetry_space_group_name_Hall '-P 4 2 3'
loop_
_atom_site_label
_atom_site_type_symbol
_atom_site_fract_x
_atom_site_fract_y
_atom_site_fract_z
Zr1 Zr 0.0000 0.0000 0.0000
Co1 Co 0.0000 0.5000 0.5000
Sb1 Sb 0.5000 0.5000 0.5000
```

=====

Entry 6:
For Sc5Co24, a DFT-relaxed cell (PBE, Alexandria) gives the computed powder diffractogram in this record (Cu Kα, 1.54184 Å).
Neutral-atom scattering factors, no anomalous dispersion.

Largest 10 diffraction maxima, in order of rising 2θ, 10° ≤ 2θ ≤ 80°:
- 2θ = 13.99°, I 3, hkl 1 1 0
- 2θ = 24.36°, I 4, hkl 2 1 1
- 2θ = 40.30°, I 6, hkl 4 0 0
- 2θ = 42.86°, I 100, hkl 4 1 1
- 2θ = 47.65°, I 29, hkl 3 3 2
- 2θ = 49.91°, I 9, hkl 4 2 2
- 2θ = 52.10°, I 20, hkl 4 3 1
- 2θ = 73.27°, I 6, hkl 4 4 4
- 2θ = 75.04°, I 9, hkl 5 5 0
- 2θ = 78.53°, I 22, hkl 7 2 1

Crystal structure
```
data_Sc5Co24
_chemical_formula_sum 'Sc10 Co48'
_cell_length_a 8.9511
_cell_length_b 8.9511
_cell_length_c 8.9511
_cell_angle_alpha 90.00
_cell_angle_beta 90.00
_cell_angle_gamma 90.00
_symmetry_space_group_name_H-M 'I -4 3 m'
_symmetry_Int_Tables_number 217
_symmetry_space_group_name_Hall 'I -4 2 3'
loop_
_atom_site_label
_atom_site_type_symbol
_atom_site_fract_x
_atom_site_fract_y
_atom_site_fract_z
Sc1 Sc 0.0000 0.0000 0.0000
Sc2 Sc 0.1900 0.1900 0.8100
Co1 Co 0.0318 0.3594 0.3594
Co2 Co 0.0914 0.0914 0.2846
```

=====

Entry 7:
For Sc4Co3, a DFT-relaxed cell (PBE, Alexandria) gives the computed powder diffractogram in this record (Cu Kα, 1.54184 Å).
Neutral-atom scattering factors, no anomalous dispersion.

Largest 10 diffraction maxima, in order of rising 2θ, 10° ≤ 2θ ≤ 80°:
- 2θ = 12.34°, I 12, hkl 0 0 3
- 2θ = 23.82°, I 6, hkl 1 0 1
- 2θ = 24.87°, I 8, hkl 0 0 6
- 2θ = 37.67°, I 4, hkl 1 0 7
- 2θ = 41.18°, I 100, hkl 1 1 0
- 2θ = 43.19°, I 3, hkl 1 1 3
- 2θ = 48.72°, I 3, hkl 1 1 6
- 2θ = 59.66°, I 15, hkl 2 0 8
- 2θ = 74.94°, I 7, hkl 1 0 16
- 2θ = 75.10°, I 22, hkl 3 0 0

Crystal structure
```
data_Sc4Co3
_chemical_formula_sum 'Sc12 Co9'
_cell_length_a 4.3803
_cell_length_b 4.3803
_cell_length_c 21.5103
_cell_angle_alpha 90.00
_cell_angle_beta 90.00
_cell_angle_gamma 120.00
_symmetry_space_group_name_H-M 'R -3 m'
_symmetry_Int_Tables_number 166
_symmetry_space_group_name_Hall '-R 3 2"'
loop_
_atom_site_label
_atom_site_type_symbol
_atom_site_fract_x
_atom_site_fract_y
_atom_site_fract_z
Sc1 Sc 0.0000 0.0000 0.1231
Sc2 Sc 0.0000 0.0000 0.3745
Co1 Co 0.0000 0.0000 0.2467
Co2 Co 0.0000 0.0000 0.5000
```

=====

Entry 8:
For Sc4Co5, a DFT-relaxed cell (PBE, Alexandria) gives the computed powder diffractogram in this record (Cu Kα, 1.54184 Å).
Neutral-atom scattering factors, no anomalous dispersion.

Largest 10 diffraction maxima, in order of rising 2θ, 10° ≤ 2θ ≤ 80°:
- 2θ = 15.07°, I 29, hkl 1 1 0
- 2θ = 39.58°, I 100, hkl 3 0 1
- 2θ = 45.39°, I 21, hkl 0 0 2
- 2θ = 46.34°, I 26, hkl 3 3 0
- 2θ = 48.10°, I 3, hkl 1 1 2
- 2θ = 50.71°, I 18, hkl 4 1 1
- 2θ = 63.28°, I 5, hkl 4 4 0
- 2θ = 66.88°, I 16, hkl 3 3 2
- 2θ = 67.61°, I 6, hkl 6 0 0
- 2θ = 79.90°, I 11, hkl 3 0 3

Crystal structure
```
data_Sc4Co5
_chemical_formula_sum 'Sc8 Co10'
_cell_length_a 8.3134
_cell_length_b 8.3134
_cell_length_c 3.9962
_cell_angle_alpha 90.00
_cell_angle_beta 90.00
_cell_angle_gamma 90.00
_symmetry_space_group_name_H-M 'I 4/m m m'
_symmetry_Int_Tables_number 139
_symmetry_space_group_name_Hall '-I 4 2'
loop_
_atom_site_label
_atom_site_type_symbol
_atom_site_fract_x
_atom_site_fract_y
_atom_site_fract_z
Sc1 Sc 0.0000 0.2873 0.0000
Co1 Co 0.0000 0.0000 0.0000
Co2 Co 0.1538 0.1538 0.5000
```